Structure and calculated PXRD pattern of K2Cr2GaSe6 (a cell relaxed with PBE; Cu Kα X-rays).
No peak broadening, texture or thermal motion is included.

Cell and atoms:
```
data_K2Cr2GaSe6
_chemical_formula_sum 'K4 Cr4 Ga2 Se12'
_cell_length_a 6.421
_cell_length_b 11.222
_cell_length_c 8.133
_cell_angle_alpha 90.00
_cell_angle_beta 105.00
_cell_angle_gamma 90.00
_symmetry_space_group_name_H-M 'C 1 2/m 1'
_symmetry_Int_Tables_number 12
_symmetry_space_group_name_Hall '-C 2y'
loop_
_atom_site_label
_atom_site_type_symbol
_atom_site_fract_x
_atom_site_fract_y
_atom_site_fract_z
_atom_site_occupancy
K1 K 0.000 0.163 0.000 1
Cr1 Cr 0.000 0.332 0.500 1
Ga1 Ga 0.000 0.000 0.500 1
Se1 Se 0.214 0.500 0.678 1
Se2 Se 0.232 0.172 0.680 1
```

Peak list (6 most intense, 15 to 90 degrees two-theta, by angle)
2θ (°)  I/Imax  index
31.5  100  1 3 1
31.8  49  2 0 -2
38.6  34  1 3 2
41.5  31  1 3 -3
49.0  34  3 3 -1
51.2  29  1 3 -4